No. 1
Theoretical XRD peak list
Compound: CaMgHg
Radiation: a wavelength of 1.5418 Å
Structure: a DFT-relaxed cell (GGA-PBE, Alexandria)
Lines closer than 0.1° are merged.

Cell and atoms:
```
data_CaMgHg
_chemical_formula_sum 'Ca4 Mg4 Hg4'
_symmetry_space_group_name_H-M 'A e m 2'
_symmetry_Int_Tables_number 39
_cell_length_a 7.922
_cell_length_b 6.361
_cell_length_c 6.360
_cell_angle_alpha 90.00
_cell_angle_beta 90.00
_cell_angle_gamma 90.00
loop_
_symmetry_equiv_pos_as_xyz
'x,y,z'
'-x,-y,z'
'-x,y+1/2,z'
'x,-y+1/2,z'
'x,y+1/2,z+1/2'
'-x,-y+1/2,z+1/2'
'-x,y,z+1/2'
'x,-y,z+1/2'
loop_
_atom_site_label
_atom_site_type_symbol
_atom_site_fract_x
_atom_site_fract_y
_atom_site_fract_z
Ca1 Ca 0.150 0.250 0.000
Mg1 Mg 0.500 0.000 0.251
Hg1 Hg 0.257 0.250 0.500
```

Most intense lines, 10° ≤ 2θ ≤ 80°, in order of rising 2θ:
Position (°2θ)	I (rel.)
22.45	33.3
22.74	100.0
28.06	52.9
36.22	66.0
39.58	40.7
46.59	32.5

---

No. 2
Theoretical XRD peak list
Compound: MgZn2Pd6
Radiation: a wavelength of 1.5418 Å
Structure: a DFT-relaxed cell (GGA-PBE, Alexandria)
Lines closer than 0.1° are merged.

Cell and atoms:
```
data_MgZn2Pd6
_chemical_formula_sum 'Mg2 Zn4 Pd12'
_symmetry_space_group_name_H-M 'P 42/m n m'
_symmetry_Int_Tables_number 136
_symmetry_space_group_name_Hall '-P 4n 2n'
_cell_length_a 8.139
_cell_length_b 8.139
_cell_length_c 4.084
_cell_angle_alpha 90.00
_cell_angle_beta 90.00
_cell_angle_gamma 90.00
loop_
_atom_site_label
_atom_site_type_symbol
_atom_site_fract_x
_atom_site_fract_y
_atom_site_fract_z
Mg1 Mg 0.000 0.000 0.000
Zn1 Zn 0.192 0.192 0.500
Pd1 Pd 0.019 0.328 0.000
Pd2 Pd 0.141 0.859 0.500
```

Most intense lines, 10° ≤ 2θ ≤ 80°, in order of rising 2θ:
Position (°2θ)	I (rel.)
39.89	100.0
41.47	11.9
44.36	19.6
47.39	24.5
66.92	16.9
78.63	12.1

---

No. 3
Theoretical XRD peak list
Compound: TbZn11Co
Radiation: a wavelength of 1.5418 Å
Structure: a DFT-relaxed cell (GGA-PBE, Alexandria)
Lines closer than 0.1° are merged.

Cell and atoms:
```
data_TbZn11Co
_chemical_formula_sum 'Tb2 Zn22 Co2'
_symmetry_space_group_name_H-M 'C 1 2/m 1'
_symmetry_Int_Tables_number 12
_cell_length_a 5.038
_cell_length_b 12.620
_cell_length_c 6.762
_cell_angle_alpha 90.00
_cell_angle_beta 111.83
_cell_angle_gamma 90.00
loop_
_symmetry_equiv_pos_as_xyz
'x,y,z'
'-x,-y,-z'
'-x,y,-z'
'x,-y,z'
'x+1/2,y+1/2,z'
'-x+1/2,-y+1/2,-z'
'-x+1/2,y+1/2,-z'
'x+1/2,-y+1/2,z'
loop_
_atom_site_label
_atom_site_type_symbol
_atom_site_fract_x
_atom_site_fract_y
_atom_site_fract_z
Tb1 Tb 0.000 0.000 0.000
Zn1 Zn 0.000 0.000 0.500
Zn2 Zn 0.103 0.394 0.221
Zn3 Zn 0.198 0.171 0.359
Zn4 Zn 0.250 0.250 0.000
Co1 Co 0.000 0.500 0.500
```

Most intense lines, 10° ≤ 2θ ≤ 80°, in order of rising 2θ:
Position (°2θ)	I (rel.)
28.58	21.3
35.10	47.6
40.58	100.0
40.79	51.4
41.18	64.1
46.13	23.4

---

No. 4
Theoretical XRD peak list
Compound: KGe2SbBr8
Radiation: a wavelength of 1.5418 Å
Structure: a DFT-relaxed cell (GGA-PBE, Alexandria)
Lines closer than 0.1° are merged.

Cell and atoms:
```
data_KGe2SbBr8
_chemical_formula_sum 'K1 Ge2 Sb1 Br8'
_symmetry_space_group_name_H-M 'P -1'
_symmetry_Int_Tables_number 2
_cell_length_a 6.768
_cell_length_b 7.283
_cell_length_c 9.200
_cell_angle_alpha 86.80
_cell_angle_beta 89.20
_cell_angle_gamma 85.35
loop_
_symmetry_equiv_pos_as_xyz
'x,y,z'
'-x,-y,-z'
loop_
_atom_site_label
_atom_site_type_symbol
_atom_site_fract_x
_atom_site_fract_y
_atom_site_fract_z
K1 K 0.000 0.000 0.000
Ge1 Ge 0.451 0.449 0.260
Sb1 Sb 0.000 0.000 0.500
Br1 Br 0.227 0.812 0.289
Br2 Br 0.235 0.314 0.469
Br3 Br 0.265 0.857 0.722
Br4 Br 0.277 0.355 0.046
```

Most intense lines, 10° ≤ 2θ ≤ 80°, in order of rising 2θ:
Position (°2θ)	I (rel.)
17.22	53.1
18.68	52.9
26.60	100.0
26.97	77.7
27.40	58.8
28.89	51.5